For MgScMo3O8, a crystal structure in the Materials Project, relaxed with GGA+U gives the simulated powder diffraction line list in this record (Cu Kα X-rays).
Neutral-atom scattering factors, no anomalous dispersion.

Main lines, sorted by position (10° ≤ 2θ ≤ 90°):
| 2theta | I (rel.) |
| --- | --- |
| 17.6 | 100 |
| 33.7 | 64 |
| 34.7 | 30 |
| 38.0 | 56 |
| 49.5 | 48 |
| 50.2 | 37 |

abc: 6.030 6.030 5.045
angles: 91.22 91.22 61.98
Sites, in units of the cell vectors:
1 Mg 0.000 0.000 0.000
2 Sc 0.500 0.500 0.000
3 Mo 0.000 0.000 0.500
4 Mo 0.000 0.499 0.500
5 Mo 0.499 0.000 0.500
6 O 0.157 0.678 0.757
7 O 0.170 0.170 0.731
8 O 0.322 0.844 0.242
9 O 0.332 0.332 0.293
10 O 0.667 0.667 0.707
11 O 0.678 0.157 0.757
12 O 0.830 0.830 0.269
13 O 0.844 0.322 0.242

---

For MgScMo3O8, a crystal structure in the Materials Project, relaxed with GGA+U gives the simulated powder diffraction line list in this record (Cu Kα X-rays).
Neutral-atom scattering factors, no anomalous dispersion.

Main lines, sorted by position (10° ≤ 2θ ≤ 90°):
| 2theta | I (rel.) |
| --- | --- |
| 17.9 | 100 |
| 24.3 | 34 |
| 33.5 | 54 |
| 37.2 | 34 |
| 38.1 | 36 |
| 38.5 | 30 |

abc: 4.964 6.111 6.291
angles: 61.10 89.34 89.34
Sites, in units of the cell vectors:
1 Mg 0.000 0.000 0.000
2 Sc 0.074 0.332 0.336
3 Mo 0.551 0.827 0.346
4 Mo 0.558 0.352 0.836
5 Mo 0.559 0.823 0.833
6 O 0.318 0.485 0.015
7 O 0.338 0.001 0.494
8 O 0.341 0.508 0.497
9 O 0.371 0.009 0.000
10 O 0.778 0.659 0.660
11 O 0.808 0.155 0.169
12 O 0.809 0.161 0.690
13 O 0.812 0.680 0.167

---

For MgScMo3O8, a crystal structure in the Materials Project, relaxed with GGA+U gives the simulated powder diffraction line list in this record (Cu Kα X-rays).
Neutral-atom scattering factors, no anomalous dispersion.

Main lines, sorted by position (10° ≤ 2θ ≤ 90°):
| 2theta | I (rel.) |
| --- | --- |
| 17.1 | 100 |
| 33.7 | 27 |
| 37.4 | 20 |
| 48.5 | 23 |
| 48.9 | 25 |
| 49.4 | 23 |

abc: 5.174 6.141 6.199
angles: 60.79 89.90 89.15
Sites, in units of the cell vectors:
1 Mg 0.000 0.000 0.000
2 Sc 0.500 0.005 0.997
3 Mo 0.000 0.501 0.000
4 Mo 0.999 0.001 0.499
5 Mo 0.999 0.501 0.499
6 O 0.194 0.650 0.677
7 O 0.219 0.166 0.686
8 O 0.220 0.680 0.152
9 O 0.224 0.157 0.154
10 O 0.775 0.845 0.845
11 O 0.778 0.320 0.848
12 O 0.780 0.835 0.313
13 O 0.804 0.351 0.322

---

For MgScMo3O8, a crystal structure in the Materials Project, relaxed with GGA+U gives the simulated powder diffraction line list in this record (Cu Kα X-rays).
Neutral-atom scattering factors, no anomalous dispersion.

Main lines, sorted by position (10° ≤ 2θ ≤ 90°):
| 2theta | I (rel.) |
| --- | --- |
| 18.1 | 100 |
| 32.0 | 30 |
| 33.9 | 28 |
| 34.0 | 34 |
| 38.4 | 33 |
| 42.4 | 24 |

abc: 5.460 6.197 6.385
angles: 118.51 112.38 90.68
Sites, in units of the cell vectors:
1 Mg 0.000 0.000 0.000
2 Sc 0.190 0.715 0.433
3 Mo 0.524 0.778 0.063
4 Mo 0.528 0.284 0.062
5 Mo 0.559 0.294 0.586
6 O 0.264 0.922 0.826
7 O 0.287 0.922 0.293
8 O 0.292 0.371 0.290
9 O 0.321 0.387 0.801
10 O 0.733 0.662 0.819
11 O 0.734 0.157 0.821
12 O 0.747 0.167 0.310
13 O 0.787 0.635 0.290

---

For Mg3Si4Mo2O14, a crystal structure in the Materials Project, relaxed with GGA+U gives the simulated powder diffraction line list in this record (Cu Kα X-rays).
Neutral-atom scattering factors, no anomalous dispersion.

Main lines, sorted by position (10° ≤ 2θ ≤ 90°):
| 2theta | I (rel.) |
| --- | --- |
| 12.3 | 100 |
| 13.0 | 68 |
| 31.0 | 49 |
| 31.7 | 69 |
| 32.0 | 49 |
| 38.4 | 76 |

abc: 9.492 9.492 9.990
angles: 120.78 120.78 48.05
Sites, in units of the cell vectors:
1 Mg 0.123 0.877 0.750
2 Mg 0.217 0.426 0.596
3 Mg 0.426 0.217 0.096
4 Mg 0.574 0.783 0.904
5 Mg 0.783 0.574 0.404
6 Mg 0.877 0.123 0.250
7 Si 0.011 0.745 0.895
8 Si 0.029 0.593 0.284
9 Si 0.255 0.989 0.605
10 Si 0.407 0.971 0.216
11 Si 0.593 0.029 0.784
12 Si 0.745 0.011 0.395
13 Si 0.971 0.407 0.716
14 Si 0.989 0.255 0.105
15 Mo 0.299 0.701 0.250
16 Mo 0.500 0.500 0.000
17 Mo 0.500 0.500 0.500
18 Mo 0.701 0.299 0.750
19 O 0.004 0.586 0.430
20 O 0.006 0.568 0.882
21 O 0.020 0.878 0.082
22 O 0.122 0.980 0.418
23 O 0.141 0.185 0.743
24 O 0.185 0.141 0.243
25 O 0.193 0.658 0.829
26 O 0.238 0.545 0.303
27 O 0.342 0.807 0.671
28 O 0.412 0.424 0.088
29 O 0.414 0.996 0.070
30 O 0.424 0.412 0.588
31 O 0.432 0.994 0.618
32 O 0.455 0.762 0.197
33 O 0.545 0.238 0.803
34 O 0.568 0.006 0.382
35 O 0.576 0.588 0.412
36 O 0.586 0.004 0.930
37 O 0.588 0.576 0.912
38 O 0.658 0.193 0.329
39 O 0.762 0.455 0.697
40 O 0.807 0.342 0.171
41 O 0.815 0.859 0.757
42 O 0.859 0.815 0.257
43 O 0.878 0.020 0.582
44 O 0.980 0.122 0.918
45 O 0.994 0.432 0.118
46 O 0.996 0.414 0.570

---

For SrMgMoO3, a crystal structure in the Materials Project, relaxed with GGA+U gives the simulated powder diffraction line list in this record (Cu Kα X-rays).
Neutral-atom scattering factors, no anomalous dispersion.

Main lines, sorted by position (10° ≤ 2θ ≤ 90°):
| 2theta | I (rel.) |
| --- | --- |
| 25.6 | 100 |
| 27.4 | 73 |
| 30.7 | 59 |
| 41.6 | 52 |
| 43.9 | 38 |
| 52.6 | 43 |

abc: 4.120 4.120 6.506
angles: 90.00 90.00 90.00
Sites, in units of the cell vectors:
1 Sr 0.000 0.000 0.000
2 Mg 0.000 0.000 0.500
3 Mo 0.500 0.500 0.500
4 O 0.000 0.500 0.500
5 O 0.500 0.000 0.500
6 O 0.500 0.500 0.000